ReBAs: calculated PXRD pattern (Cu Kα), based on a cell relaxed with PBE.
Peak positions follow from Bragg's law for the DFT cell and can differ from measured ones.

Largest 6 diffraction maxima, low angle first, 2θ = 5–70°:
| 2θ/deg | I (rel.) | h k l |
| --- | --- | --- |
| 20.10 | 65 | 1 0 -1 |
| 30.65 | 100 | 0 1 0 |
| 34.52 | 54 | 0 0 2 |
| 34.62 | 53 | 2 0 0 |
| 46.87 | 91 | 0 1 2 |
| 54.22 | 35 | 1 1 2 |

Crystal structure
Unit cell a=5.4506 b=2.9165 c=5.4662 alpha=90.00 beta=108.08 gamma=90.00
Space group P2/m (No. 10)
Inequivalent atoms, fractional coordinates:
Re 0.2054 0.0000 0.2061
B 0.1263 0.5000 0.8740
As 0.3036 0.0000 0.6958



Sc8B8As3Rh20: calculated PXRD pattern (Cu Kα), based on a cell relaxed with PBE.
Peak positions follow from Bragg's law for the DFT cell and can differ from measured ones.

Largest 6 diffraction maxima, low angle first, 2θ = 5–70°:
| 2θ/deg | I (rel.) | h k l |
| --- | --- | --- |
| 28.28 | 49 | 0 1 0 |
| 35.88 | 48 | 2 1 2 |
| 40.47 | 66 | 1 0 8 |
| 42.28 | 100 | 1 1 -6 |
| 44.06 | 40 | 4 0 4 |
| 45.76 | 44 | 3 1 4 |

Crystal structure
Unit cell a=9.2013 b=3.1556 c=18.3592 alpha=90.00 beta=90.02 gamma=90.00
Space group P2/m (No. 10)
Inequivalent atoms, fractional coordinates:
Sc 0.1703 0.0000 0.0870
Sc 0.1756 0.0000 0.5878
Sc 0.3251 0.0000 0.3340
Sc 0.3285 0.0000 0.8408
B 0.1244 0.0000 0.4369
B 0.1414 0.0000 0.9430
B 0.3764 0.0000 0.6900
B 0.3833 0.0000 0.1769
As 0.0015 0.0000 0.2463
As 0.5000 0.0000 0.5000
Rh 0.0000 0.5000 0.0000
Rh 0.0000 0.5000 0.5000
Rh 0.0716 0.5000 0.3573
Rh 0.0762 0.5000 0.8590
Rh 0.2153 0.5000 0.7143
Rh 0.2178 0.5000 0.2120
Rh 0.2838 0.5000 0.4633
Rh 0.2924 0.5000 0.9678
Rh 0.4290 0.5000 0.6088
Rh 0.4305 0.5000 0.1020
Rh 0.4991 0.5000 0.7521



Sm4B3AsRh12: calculated PXRD pattern (Cu Kα), based on a cell relaxed with PBE.
Peak positions follow from Bragg's law for the DFT cell and can differ from measured ones.

Largest 6 diffraction maxima, low angle first, 2θ = 5–70°:
| 2θ/deg | I (rel.) | h k l |
| --- | --- | --- |
| 29.18 | 7 | 2 2 0 |
| 35.94 | 100 | 2 2 2 |
| 38.93 | 2 | 3 2 1 |
| 41.74 | 61 | 4 0 0 |
| 51.74 | 2 | 4 2 2 |
| 60.51 | 39 | 4 4 0 |

Crystal structure
Unit cell a=8.6558 b=8.6558 c=8.6558 alpha=90.00 beta=90.00 gamma=90.00
Space group Im-3m (No. 229)
Inequivalent atoms, fractional coordinates:
Sm 0.2500 0.2500 0.2500
B 0.0000 0.0000 0.5000
As 0.0000 0.0000 0.0000
Rh 0.0000 0.0000 0.2679
Rh 0.0000 0.2500 0.5000